1.
Diffraction record for Zn2NiPt7. The PXRD pattern is theoretical, not measured: it uses a PBE-relaxed structure and λ = 1.5418 Å (Cu Kα).
Peak positions follow from Bragg's law for the DFT cell and can differ from measured ones.

Largest 8 diffraction maxima, by angle, 2θ from 10° to 90°:
| two_theta | intensity |
| --- | --- |
| 20.43 | 40.6 |
| 31.87 | 46.6 |
| 39.83 | 41.5 |
| 41.55 | 100.0 |
| 43.93 | 42.4 |
| 46.04 | 53.8 |
| 47.51 | 46.2 |
| 74.08 | 36.5 |

Structural model:
Unit cell a=8.710 b=8.710 c=2.708 alpha=90.00 beta=90.00 gamma=123.51
Fractional positions:
Zn  0.171  0.829  0.000
Zn  0.829  0.171  0.000
Ni  0.500  0.500  0.500
Pt  0.000  0.000  0.000
Pt  0.188  0.368  0.000
Pt  0.313  0.687  0.500
Pt  0.368  0.188  0.000
Pt  0.632  0.812  0.000
Pt  0.687  0.313  0.500
Pt  0.812  0.632  0.000

=====

2.
Diffraction record for ZnNiPt5. The PXRD pattern is theoretical, not measured: it uses a PBE-relaxed structure and λ = 1.5418 Å (Cu Kα).
Peak positions follow from Bragg's law for the DFT cell and can differ from measured ones.

Largest 8 diffraction maxima, by angle, 2θ from 10° to 90°:
| two_theta | intensity |
| --- | --- |
| 21.96 | 100.0 |
| 22.35 | 41.2 |
| 31.53 | 90.9 |
| 41.64 | 27.6 |
| 45.41 | 83.8 |
| 45.61 | 50.9 |
| 50.60 | 58.2 |
| 72.74 | 23.5 |

Structural model:
Unit cell a=6.097 b=6.097 c=6.097 alpha=98.55 beta=98.55 gamma=134.64
Fractional positions:
Zn  0.000  0.000  0.000
Ni  0.750  0.250  0.500
Pt  0.250  0.750  0.500
Pt  0.257  0.479  0.778
Pt  0.521  0.299  0.778
Pt  0.521  0.743  0.222
Pt  0.701  0.479  0.222